Entry 1:
For Al2S3, a PBE-relaxed structure gives the computed XRD peak list in this record (CuKα).
Neutral-atom scattering factors, no anomalous dispersion.

Peak list (6 most intense, 2θ from 10° to 90°, sorted by position)
index, 2θ (°), d_spacing, intensity
1 0 2, 18.58, 4.775, 44
1 1 0, 26.96, 3.308, 100
0 0 6, 31.05, 2.880, 53
1 1 3, 31.18, 2.868, 36
3 0 0, 47.62, 1.910, 61
3 0 6, 57.95, 1.591, 40

Atomic structure:
```
data_Al2S3
_chemical_formula_sum 'Al12 S18'
_cell_length_a 6.6150
_cell_length_b 6.6150
_cell_length_c 17.2792
_cell_angle_alpha 90.00
_cell_angle_beta 90.00
_cell_angle_gamma 120.00
_space_group_name_H-M_alt 'P 61'
_space_group_IT_number 169
_space_group_name_Hall 'P 61'
loop_
_atom_site_label
_atom_site_fract_x
_atom_site_fract_y
_atom_site_fract_z
Al1 0.0078 0.3532 0.0000
Al2 0.0087 0.3068 0.6341
S1 0.0076 0.6609 0.6321
S2 0.0396 0.7080 0.9911
S3 0.0475 0.3487 0.7786
```

Entry 2:
For Al2S3, a PBE-relaxed structure gives the computed XRD peak list in this record (CuKα).
Neutral-atom scattering factors, no anomalous dispersion.

Peak list (6 most intense, 2θ from 10° to 90°, sorted by position)
index, 2θ (°), d_spacing, intensity
1 1 0, 16.45, 5.390, 13
1 3 -1, 29.14, 3.064, 100
0 0 2, 29.50, 3.028, 36
2 0 2, 48.62, 1.873, 38
1 3 -3, 49.08, 1.856, 25
3 3 1, 57.40, 1.605, 17

Atomic structure:
```
data_Al2S3
_chemical_formula_sum 'Al8 S12'
_cell_length_a 6.457
_cell_length_b 11.371
_cell_length_c 6.387
_cell_angle_alpha 90.00
_cell_angle_beta 108.55
_cell_angle_gamma 90.00
_space_group_name_H-M_alt 'C 1 c 1'
_space_group_IT_number 9
_space_group_name_Hall 'C -2yc'
loop_
_atom_site_label
_atom_site_fract_x
_atom_site_fract_y
_atom_site_fract_z
Al1 0.000 0.085 0.000
Al2 0.467 0.248 0.997
S1 0.347 0.254 0.616
S2 0.356 0.421 0.120
S3 0.357 0.091 0.132
```

Entry 3:
For Al5S8, a PBE-relaxed structure gives the computed XRD peak list in this record (CuKα).
Neutral-atom scattering factors, no anomalous dispersion.

Peak list (6 most intense, 2θ from 10° to 90°, sorted by position)
index, 2θ (°), d_spacing, intensity
1 1 1, 15.45, 5.735, 30
3 1 1, 29.83, 2.995, 29
2 2 2, 31.19, 2.868, 46
4 0 0, 36.17, 2.484, 100
4 4 0, 52.08, 1.756, 83
8 4 0, 87.91, 1.111, 25

Atomic structure:
```
data_Al5S8
_chemical_formula_sum 'Al20 S32'
_cell_length_a 9.934
_cell_length_b 9.934
_cell_length_c 9.934
_cell_angle_alpha 90.00
_cell_angle_beta 90.00
_cell_angle_gamma 90.00
_space_group_name_H-M_alt 'F -4 3 m'
_space_group_IT_number 216
_space_group_name_Hall 'F -4 2 3'
loop_
_atom_site_label
_atom_site_fract_x
_atom_site_fract_y
_atom_site_fract_z
Al1 0.000 0.000 0.000
Al2 0.116 0.116 0.384
S1 0.121 0.121 0.621
S2 0.134 0.134 0.134
```

Entry 4:
For AlTlSbS3, a PBE-relaxed structure gives the computed XRD peak list in this record (CuKα).
Neutral-atom scattering factors, no anomalous dispersion.

Peak list (6 most intense, 2θ from 10° to 90°, sorted by position)
index, 2θ (°), d_spacing, intensity
2 0 1, 21.21, 4.189, 48
0 0 3, 26.74, 3.334, 96
0 1 2, 29.73, 3.005, 58
2 1 0, 30.31, 2.949, 58
2 1 -1, 31.28, 2.859, 100
0 0 4, 35.96, 2.497, 70

Atomic structure:
```
data_AlTlSbS3
_chemical_formula_sum 'Al2 Tl2 Sb2 S6'
_cell_length_a 9.523
_cell_length_b 3.760
_cell_length_c 10.017
_cell_angle_alpha 90.00
_cell_angle_beta 93.67
_cell_angle_gamma 90.00
_space_group_name_H-M_alt 'P 1 21/m 1'
_space_group_IT_number 11
_space_group_name_Hall '-P 2yb'
loop_
_atom_site_label
_atom_site_fract_x
_atom_site_fract_y
_atom_site_fract_z
Al1 0.068 0.250 0.110
Tl1 0.182 0.250 0.638
Sb1 0.344 0.750 0.360
S1 0.071 0.250 0.327
S2 0.155 0.750 0.004
S3 0.478 0.750 0.656
```

Entry 5:
For AlSe3S8, a PBE-relaxed structure gives the computed XRD peak list in this record (CuKα).
Neutral-atom scattering factors, no anomalous dispersion.

Peak list (6 most intense, 2θ from 10° to 90°, sorted by position)
index, 2θ (°), d_spacing, intensity
0 1 1, 17.71, 5.009, 79
1 -1 0, 18.15, 4.887, 33
1 1 -1, 19.52, 4.546, 100
1 -1 1, 22.39, 3.971, 32
1 0 2, 30.42, 2.939, 27
1 1 -3, 34.73, 2.583, 25

Atomic structure:
```
data_AlSe3S8
_chemical_formula_sum 'Al1 Se3 S8'
_cell_length_a 6.207
_cell_length_b 7.709
_cell_length_c 8.071
_cell_angle_alpha 99.03
_cell_angle_beta 103.74
_cell_angle_gamma 91.77
_space_group_name_H-M_alt 'P 1'
_space_group_IT_number 1
_space_group_name_Hall 'P 1'
loop_
_atom_site_label
_atom_site_fract_x
_atom_site_fract_y
_atom_site_fract_z
Al1 0.000 0.000 0.000
Se1 0.438 0.380 0.626
Se2 0.573 0.960 0.154
Se3 0.935 0.614 0.446
S1 0.115 0.688 0.258
S2 0.155 0.966 0.772
S3 0.237 0.151 0.447
S4 0.301 0.161 0.205
S5 0.718 0.188 0.975
S6 0.752 0.268 0.735
S7 0.863 0.870 0.585
S8 0.868 0.735 0.046
```

Entry 6:
For Al2SiS4, a PBE-relaxed structure gives the computed XRD peak list in this record (CuKα).
Neutral-atom scattering factors, no anomalous dispersion.

Peak list (6 most intense, 2θ from 10° to 90°, sorted by position)
index, 2θ (°), d_spacing, intensity
1 0 1, 18.21, 4.872, 46
1 1 2, 30.84, 2.899, 100
2 1 1, 33.68, 2.661, 13
2 2 0, 40.14, 2.246, 36
3 1 2, 51.46, 1.776, 31
2 0 4, 56.48, 1.629, 27

Atomic structure:
```
data_Al2SiS4
_chemical_formula_sum 'Al4 Si2 S8'
_cell_length_a 6.353
_cell_length_b 6.353
_cell_length_c 7.591
_cell_angle_alpha 90.00
_cell_angle_beta 90.00
_cell_angle_gamma 90.00
_space_group_name_H-M_alt 'I -4 2 m'
_space_group_IT_number 121
_space_group_name_Hall 'I -4 2'
loop_
_atom_site_label
_atom_site_fract_x
_atom_site_fract_y
_atom_site_fract_z
Al1 0.000 0.500 0.250
Si1 0.000 0.000 0.000
S1 0.213 0.213 0.132
```

Entry 7:
For Al2SiS, a PBE-relaxed structure gives the computed XRD peak list in this record (CuKα).
Neutral-atom scattering factors, no anomalous dispersion.

Peak list (6 most intense, 2θ from 10° to 90°, sorted by position)
index, 2θ (°), d_spacing, intensity
1 1 2, 27.56, 3.237, 100
2 0 4, 45.66, 1.987, 45
2 2 0, 46.02, 1.972, 22
1 1 6, 53.85, 1.703, 14
3 1 2, 54.48, 1.684, 26
4 2 4, 84.97, 1.141, 15

Atomic structure:
```
data_Al2SiS
_chemical_formula_sum 'Al8 Si4 S4'
_cell_length_a 5.578
_cell_length_b 5.578
_cell_length_c 11.325
_cell_angle_alpha 90.00
_cell_angle_beta 90.00
_cell_angle_gamma 90.00
_space_group_name_H-M_alt 'I -4 2 d'
_space_group_IT_number 122
_space_group_name_Hall 'I -4 2bw'
loop_
_atom_site_label
_atom_site_fract_x
_atom_site_fract_y
_atom_site_fract_z
Al1 0.247 0.250 0.125
Si1 0.000 0.000 0.000
S1 0.000 0.000 0.500
```

Entry 8:
For Sm5AlS4, a PBE-relaxed structure gives the computed XRD peak list in this record (CuKα).
Neutral-atom scattering factors, no anomalous dispersion.

Peak list (6 most intense, 2θ from 10° to 90°, sorted by position)
index, 2θ (°), d_spacing, intensity
2 1 1, 26.77, 3.331, 100
1 3 0, 30.94, 2.890, 84
0 0 2, 31.12, 2.874, 42
1 3 2, 44.46, 2.038, 61
5 0 1, 52.54, 1.742, 33
4 2 2, 55.15, 1.665, 32

Atomic structure:
```
data_Sm5AlS4
_chemical_formula_sum 'Sm10 Al2 S8'
_cell_length_a 9.138
_cell_length_b 9.138
_cell_length_c 5.748
_cell_angle_alpha 90.00
_cell_angle_beta 90.00
_cell_angle_gamma 90.00
_space_group_name_H-M_alt 'I 4/m'
_space_group_IT_number 87
_space_group_name_Hall '-I 4'
loop_
_atom_site_label
_atom_site_fract_x
_atom_site_fract_y
_atom_site_fract_z
Sm1 0.000 0.000 0.000
Sm2 0.101 0.306 0.500
Al1 0.000 0.000 0.500
S1 0.102 0.301 0.000
```